For K8Ni3O8, the GGA+U geometry in Alexandria gives the theoretical powder diffraction line list in this record (copper Kα).
No peak broadening, texture or thermal motion is included.

Main lines, low angle first (10° ≤ 2θ ≤ 90°):
d (Å), two_theta, intensity
4.479, 19.8, 659
4.091, 21.7, 263
3.194, 27.9, 168
3.135, 28.5, 357
3.104, 28.8, 384
3.073, 29.1, 189
2.945, 30.4, 584
2.746, 32.6, 253
2.720, 32.9, 1000
2.606, 34.4, 254

```
19
Lattice="9.777 -2.720 0.000 9.777 2.720 0.000 -2.417 0.000 7.559" Properties=species:S:1:pos:R:3 pbc="T T T"
K -0.025 0.000 1.782
K 1.882 0.000 6.073
K 5.196 0.000 4.027
K 7.646 0.000 0.383
K 9.491 0.000 7.176
K 11.942 0.000 3.532
K 15.255 0.000 1.486
K 17.162 0.000 5.778
Ni 3.201 0.000 1.568
Ni 8.569 0.000 3.780
Ni 13.936 0.000 5.991
O 2.118 0.000 0.096
O 2.433 0.000 3.145
O 4.946 0.000 1.290
O 7.677 0.000 5.240
O 9.460 0.000 2.320
O 12.191 0.000 6.269
O 14.704 0.000 4.415
O 15.019 0.000 7.464
```

***

For KNiOs2O8, the GGA+U geometry in Alexandria gives the theoretical powder diffraction line list in this record (copper Kα).
No peak broadening, texture or thermal motion is included.

Main lines, low angle first (10° ≤ 2θ ≤ 90°):
d (Å), two_theta, intensity
4.889, 18.1, 1000
4.452, 19.9, 465
3.903, 22.8, 749
3.353, 26.6, 211
3.136, 28.5, 567
3.108, 28.7, 914
2.544, 35.3, 263
2.515, 35.7, 557
2.482, 36.2, 217
2.445, 36.8, 217

```
12
Lattice="4.178 -3.136 0.000 4.178 3.136 0.000 -2.559 0.000 6.706" Properties=species:S:1:pos:R:3 pbc="T T T"
K 0.000 0.000 0.000
Ni -1.280 0.000 3.353
Os 1.799 0.000 5.068
Os 3.997 0.000 1.637
O 3.163 1.551 1.914
O 0.656 0.000 3.647
O 2.633 1.551 4.792
O 0.484 0.000 6.348
O 5.312 0.000 0.357
O 3.163 -1.551 1.914
O 5.140 0.000 3.059
O 2.633 -1.551 4.792
```

***

For KNiPO10, the GGA+U geometry in Alexandria gives the theoretical powder diffraction line list in this record (copper Kα).
No peak broadening, texture or thermal motion is included.

Main lines, low angle first (10° ≤ 2θ ≤ 90°):
d (Å), two_theta, intensity
7.200, 12.3, 824
6.875, 12.9, 1000
5.665, 15.6, 388
5.503, 16.1, 538
4.590, 19.3, 600
4.409, 20.1, 512
4.336, 20.5, 360
3.817, 23.3, 352
3.352, 26.6, 438
3.037, 29.4, 379

```
26
Lattice="6.877 0.000 0.000 0.000 9.180 0.000 -0.155 0.000 7.200" Properties=species:S:1:pos:R:3 pbc="T T T"
K 0.316 0.000 0.786
K 6.406 4.590 6.414
Ni 0.923 5.318 3.162
Ni 5.799 0.727 4.038
P 0.447 7.959 4.795
P 6.274 3.368 2.405
O -0.052 1.375 5.494
O 0.302 8.556 3.367
O 0.781 3.664 1.702
O 0.743 6.449 4.787
O 1.531 8.708 5.621
O 2.789 6.247 2.639
O 2.799 4.548 4.023
O 2.767 5.666 7.083
O 2.984 1.698 0.542
O 3.204 0.868 3.798
O 3.518 5.458 3.402
O 3.737 6.289 6.658
O 3.954 1.076 0.117
O 3.922 9.139 3.177
O 3.932 1.657 4.561
O 5.190 4.118 1.579
O 5.978 1.859 2.413
O 5.941 8.254 5.498
O 6.420 3.966 3.833
O 6.774 5.965 1.706
```